Starting from DFT lattice parameters and positions (GGA-PBE), the XRD peak list of Cd4InAg2 was calculated for Cu Ka.

Top 8 peaks for 15° ≤ 2θ ≤ 90°, by angle:
d [Å]  two_theta  Rel. int.
2.687  33.34  25
2.439  36.85  73
2.415  37.22  39
2.390  37.63  100
2.385  37.72  37
2.362  38.09  46
2.357  38.19  58
2.311  38.97  27

Atomic structure:
a b c (Å): 5.954 7.270 7.431
angles (deg): 95.26 99.29 104.06
Fractional positions:
Cd: 0.000 0.000 0.000
Cd: 0.002 0.330 0.440
Cd: 0.132 0.632 0.822
Cd: 0.261 0.407 0.129
Cd: 0.476 0.894 0.678
Cd: 0.597 0.513 0.515
Cd: 0.644 0.227 0.094
Cd: 0.957 0.921 0.588
In: 0.020 0.694 0.257
In: 0.558 0.834 0.229
Ag: 0.314 0.260 0.759
Ag: 0.341 0.111 0.372
Ag: 0.652 0.617 0.914
Ag: 0.808 0.262 0.759

***

Starting from DFT lattice parameters and positions (GGA-PBE), the XRD peak list of Li13Sn2 was calculated for Cu Ka.

Top 8 peaks for 15° ≤ 2θ ≤ 90°, by angle:
d [Å]  two_theta  Rel. int.
5.637  15.72  100
4.023  22.09  38
3.949  22.52  45
3.234  27.58  26
2.818  31.75  20
2.540  35.34  25
2.502  35.89  27
2.294  39.27  28

Atomic structure:
a b c (Å): 8.050 8.050 8.050
angles (deg): 58.75 58.75 58.75
Fractional positions:
Li: 0.000 0.000 0.000
Li: 0.009 0.009 0.646
Li: 0.009 0.646 0.009
Li: 0.231 0.231 0.605
Li: 0.231 0.605 0.231
Li: 0.354 0.991 0.991
Li: 0.395 0.769 0.769
Li: 0.605 0.231 0.231
Li: 0.646 0.009 0.009
Li: 0.769 0.395 0.769
Li: 0.769 0.769 0.395
Li: 0.991 0.354 0.991
Li: 0.991 0.991 0.354
Sn: 0.240 0.240 0.240
Sn: 0.760 0.760 0.760

***

Starting from DFT lattice parameters and positions (GGA-PBE), the XRD peak list of Tb4YTl4 was calculated for Cu Ka.

Top 8 peaks for 15° ≤ 2θ ≤ 90°, by angle:
d [Å]  two_theta  Rel. int.
2.975  30.04  100
2.904  30.79  49
2.841  31.49  61
2.775  32.26  59
2.662  33.67  26
2.432  36.96  80
2.390  37.63  63
1.591  57.97  25

Atomic structure:
a b c (Å): 9.407 9.407 5.960
angles (deg): 90.00 90.00 90.00
Fractional positions:
Tb: 0.089 0.827 0.129
Tb: 0.173 0.589 0.629
Tb: 0.327 0.911 0.629
Tb: 0.411 0.673 0.129
Tb: 0.589 0.327 0.871
Tb: 0.673 0.089 0.371
Tb: 0.827 0.411 0.371
Tb: 0.911 0.173 0.871
Y: 0.250 0.250 0.750
Y: 0.750 0.750 0.250
Tl: 0.042 0.148 0.363
Tl: 0.148 0.458 0.137
Tl: 0.352 0.042 0.137
Tl: 0.458 0.352 0.363
Tl: 0.542 0.648 0.637
Tl: 0.648 0.958 0.863
Tl: 0.852 0.542 0.863
Tl: 0.958 0.852 0.637

***

Starting from DFT lattice parameters and positions (GGA-PBE), the XRD peak list of SmTl2BiS4 was calculated for Cu Ka.

Top 8 peaks for 15° ≤ 2θ ≤ 90°, by angle:
d [Å]  two_theta  Rel. int.
3.736  23.82  29
3.416  26.09  67
3.021  29.57  100
2.208  40.87  39
2.072  43.68  23
1.901  47.85  16
1.812  50.36  17
1.706  53.71  12

Atomic structure:
a b c (Å): 7.184 4.135 7.844
angles (deg): 90.00 107.71 90.00
Fractional positions:
Sm: 0.000 0.000 0.000
Tl: 0.000 0.500 0.500
Tl: 0.500 0.000 0.500
Bi: 0.500 0.500 0.000
S: 0.232 0.500 0.204
S: 0.261 0.000 0.793
S: 0.739 0.000 0.207
S: 0.768 0.500 0.796

***

Starting from DFT lattice parameters and positions (GGA-PBE), the XRD peak list of La3ErN4 was calculated for Cu Ka.

Top 8 peaks for 15° ≤ 2θ ≤ 90°, by angle:
d [Å]  two_theta  Rel. int.
3.002  29.76  100
2.603  34.45  50
2.592  34.60  25
1.837  49.62  43
1.569  58.85  31
1.564  59.05  15
1.193  80.54  10
1.163  83.02  11

Atomic structure:
a b c (Å): 6.356 7.372 6.356
angles (deg): 90.00 109.30 90.00
Fractional positions:
La: 0.000 0.122 0.250
La: 0.000 0.368 0.750
La: 0.000 0.632 0.250
La: 0.000 0.878 0.750
La: 0.500 0.368 0.250
La: 0.500 0.632 0.750
Er: 0.500 0.128 0.750
Er: 0.500 0.872 0.250
N: 0.256 0.352 0.513
N: 0.256 0.648 0.013
N: 0.262 0.128 0.994
N: 0.262 0.872 0.494
N: 0.738 0.128 0.506
N: 0.738 0.872 0.006
N: 0.744 0.352 0.987
N: 0.744 0.648 0.487

***

Starting from DFT lattice parameters and positions (GGA-PBE), the XRD peak list of Cs4HAu2I was calculated for Cu Ka.

Top 8 peaks for 15° ≤ 2θ ≤ 90°, by angle:
d [Å]  two_theta  Rel. int.
4.900  18.10  35
3.960  22.45  50
3.786  23.50  90
3.553  25.07  83
2.896  30.88  80
2.754  32.51  34
2.603  34.45  100
2.176  41.51  39

Atomic structure:
a b c (Å): 9.086 9.086 17.785
angles (deg): 90.00 90.00 146.70
Fractional positions:
Cs: 0.000 0.000 0.000
Cs: 0.000 0.000 0.500
Cs: 0.263 0.737 0.628
Cs: 0.263 0.737 0.872
Cs: 0.436 0.564 0.250
Cs: 0.564 0.436 0.750
Cs: 0.737 0.263 0.128
Cs: 0.737 0.263 0.372
H: 0.151 0.849 0.750
H: 0.849 0.151 0.250
Au: 0.368 0.632 0.050
Au: 0.368 0.632 0.450
Au: 0.632 0.368 0.550
Au: 0.632 0.368 0.950
I: 0.115 0.885 0.250
I: 0.885 0.115 0.750

***

Starting from DFT lattice parameters and positions (GGA-PBE), the XRD peak list of Sm2Dy3Y7 was calculated for Cu Ka.

Top 8 peaks for 15° ≤ 2θ ≤ 90°, by angle:
d [Å]  two_theta  Rel. int.
3.118  28.63  25
2.934  30.46  32
2.895  30.88  69
2.878  31.07  100
2.852  31.37  45
2.820  31.73  43
2.677  33.48  42
2.598  34.53  38

Atomic structure:
a b c (Å): 5.811 3.598 18.743
angles (deg): 90.00 93.56 90.00
Fractional positions:
Sm: 0.206 0.000 0.294
Sm: 0.794 0.000 0.706
Dy: 0.000 0.000 0.000
Dy: 0.280 0.500 0.632
Dy: 0.720 0.500 0.368
Y: 0.182 0.500 0.143
Y: 0.242 0.000 0.462
Y: 0.315 0.000 0.822
Y: 0.500 0.500 0.000
Y: 0.685 0.000 0.178
Y: 0.758 0.000 0.538
Y: 0.818 0.500 0.857

***

Starting from DFT lattice parameters and positions (GGA-PBE), the XRD peak list of Li11Mg4 was calculated for Cu Ka.

Top 8 peaks for 15° ≤ 2θ ≤ 90°, by angle:
d [Å]  two_theta  Rel. int.
5.314  16.68  25
3.573  24.92  38
2.965  30.14  62
2.710  33.06  34
2.578  34.80  38
2.549  35.21  27
2.505  35.85  34
2.328  38.68  100

Atomic structure:
a b c (Å): 10.628 10.628 5.420
angles (deg): 90.00 90.00 90.00
Fractional positions:
Li: 0.000 0.000 0.000
Li: 0.061 0.259 0.000
Li: 0.096 0.096 0.500
Li: 0.188 0.812 0.252
Li: 0.188 0.812 0.748
Li: 0.241 0.561 0.500
Li: 0.259 0.061 0.000
Li: 0.312 0.312 0.248
Li: 0.312 0.312 0.752
Li: 0.404 0.596 0.000
Li: 0.439 0.759 0.500
Li: 0.500 0.500 0.500
Li: 0.561 0.241 0.500
Li: 0.596 0.404 0.000
Li: 0.688 0.688 0.248
Li: 0.688 0.688 0.752
Li: 0.741 0.939 0.000
Li: 0.759 0.439 0.500
Li: 0.812 0.188 0.252
Li: 0.812 0.188 0.748
Li: 0.904 0.904 0.500
Li: 0.939 0.741 0.000
Mg: 0.035 0.363 0.500
Mg: 0.137 0.535 0.000
Mg: 0.363 0.035 0.500
Mg: 0.465 0.863 0.000
Mg: 0.535 0.137 0.000
Mg: 0.637 0.965 0.500
Mg: 0.863 0.465 0.000
Mg: 0.965 0.637 0.500

***

Starting from DFT lattice parameters and positions (GGA-PBE), the XRD peak list of Pm6MgSn3 was calculated for Cu Ka.

Top 8 peaks for 15° ≤ 2θ ≤ 90°, by angle:
d [Å]  two_theta  Rel. int.
3.541  25.15  11
3.038  29.40  39
2.856  31.32  100
2.653  33.78  24
2.644  33.91  24
2.207  40.88  19
1.696  54.08  25
1.370  68.51  12

Atomic structure:
a b c (Å): 8.375 8.375 8.829
angles (deg): 90.00 90.00 89.65
Fractional positions:
Pm: 0.006 0.497 0.750
Pm: 0.165 0.835 0.506
Pm: 0.165 0.835 0.994
Pm: 0.326 0.326 0.000
Pm: 0.326 0.326 0.500
Pm: 0.497 0.006 0.250
Pm: 0.503 0.994 0.750
Pm: 0.674 0.674 0.000
Pm: 0.674 0.674 0.500
Pm: 0.835 0.165 0.006
Pm: 0.835 0.165 0.494
Pm: 0.994 0.503 0.250
Mg: 0.376 0.624 0.250
Mg: 0.624 0.376 0.750
Sn: 0.130 0.132 0.250
Sn: 0.132 0.130 0.750
Sn: 0.372 0.628 0.750
Sn: 0.628 0.372 0.250
Sn: 0.868 0.870 0.250
Sn: 0.870 0.868 0.750

***

Starting from DFT lattice parameters and positions (GGA-PBE), the XRD peak list of Sm2Cl3O was calculated for Cu Ka.

Top 8 peaks for 15° ≤ 2θ ≤ 90°, by angle:
d [Å]  two_theta  Rel. int.
3.454  25.80  31
3.401  26.21  100
3.178  28.07  63
2.776  32.24  51
2.578  34.80  36
2.545  35.26  41
2.476  36.29  44
2.029  44.67  32

Atomic structure:
a b c (Å): 8.166 8.166 10.522
angles (deg): 118.23 118.23 28.54
Fractional positions:
Sm: 0.086 0.086 0.451
Sm: 0.365 0.365 0.212
Sm: 0.635 0.635 0.788
Sm: 0.914 0.914 0.549
Cl: 0.163 0.163 0.011
Cl: 0.271 0.271 0.384
Cl: 0.452 0.452 0.764
Cl: 0.548 0.548 0.236
Cl: 0.729 0.729 0.616
Cl: 0.837 0.837 0.989
O: 0.083 0.083 0.670
O: 0.917 0.917 0.330

***

Starting from DFT lattice parameters and positions (GGA-PBE), the XRD peak list of Na2Sm was calculated for Cu Ka.

Top 8 peaks for 15° ≤ 2θ ≤ 90°, by angle:
d [Å]  two_theta  Rel. int.
4.739  18.72  58
3.159  28.25  58
3.058  29.20  100
3.007  29.71  40
2.830  31.62  40
2.820  31.73  77
2.706  33.11  99
2.328  38.68  34

Atomic structure:
a b c (Å): 3.554 3.554 9.707
angles (deg): 100.78 100.78 59.92
Fractional positions:
Na: 0.000 0.000 0.000
Na: 0.560 0.560 0.653
Sm: 0.779 0.779 0.326

***

Starting from DFT lattice parameters and positions (GGA-PBE), the XRD peak list of La6Pr2Tm3 was calculated for Cu Ka.

Top 8 peaks for 15° ≤ 2θ ≤ 90°, by angle:
d [Å]  two_theta  Rel. int.
2.997  29.81  100
2.979  29.99  33
2.595  34.57  45
2.585  34.71  22
1.839  49.58  16
1.832  49.78  16
1.827  49.92  16
1.564  59.08  29

Atomic structure:
a b c (Å): 6.331 8.182 8.206
angles (deg): 107.48 97.20 104.60
Fractional positions:
La: 0.045 0.183 0.412
La: 0.225 0.906 0.049
La: 0.315 0.273 0.861
La: 0.685 0.727 0.139
La: 0.775 0.094 0.951
La: 0.955 0.817 0.588
Pr: 0.410 0.638 0.681
Pr: 0.590 0.362 0.319
Tm: 0.137 0.546 0.227
Tm: 0.500 0.000 0.500
Tm: 0.863 0.454 0.773